[1]
Structure and computed powder X-ray diffraction pattern of Pm3Er6In (DFT lattice parameters and positions (PBE); a wavelength of 1.5418 Å).

Cell lengths 12.9069, 3.5410, 14.4158 Å; angles 90.00, 108.75, 90.00 degrees
Sites, in units of the cell vectors:
Pm: 0.0093 0.2500 0.3957
Pm: 0.3775 0.2500 0.0002
Pm: 0.4663 0.2500 0.5922
Pm: 0.5337 0.7500 0.4078
Pm: 0.6225 0.7500 0.9998
Pm: 0.9907 0.7500 0.6043
Er: 0.1360 0.7500 0.0225
Er: 0.1442 0.2500 0.8105
Er: 0.2174 0.2500 0.5994
Er: 0.2503 0.7500 0.3923
Er: 0.3315 0.2500 0.2182
Er: 0.3831 0.7500 0.7894
Er: 0.6169 0.2500 0.2106
Er: 0.6685 0.7500 0.7818
Er: 0.7497 0.2500 0.6077
Er: 0.7826 0.7500 0.4006
Er: 0.8558 0.7500 0.1895
Er: 0.8640 0.2500 0.9775
In: 0.0765 0.2500 0.1930
In: 0.9235 0.7500 0.8070

Peak list (8 most intense, 10° ≤ 2θ ≤ 90°, sorted by position)
two_theta  intensity
28.83  21
31.40  20
32.01  79
32.47  100
32.79  89
33.95  32
49.59  20
51.62  20

[2]
Structure and computed powder X-ray diffraction pattern of Pm3Er2In2 (DFT lattice parameters and positions (PBE); a wavelength of 1.5418 Å).

Cell lengths 4.9775, 23.8137, 3.5091 Å; angles 90.00, 90.00, 90.00 degrees
Sites, in units of the cell vectors:
Pm: 0.0000 0.0000 0.0000
Pm: 0.0000 0.1430 0.0000
Pm: 0.0000 0.8570 0.0000
Pm: 0.5000 0.3570 0.0000
Pm: 0.5000 0.5000 0.0000
Pm: 0.5000 0.6430 0.0000
Er: 0.0000 0.2873 0.5000
Er: 0.0000 0.7127 0.5000
Er: 0.5000 0.2127 0.5000
Er: 0.5000 0.7873 0.5000
In: 0.0000 0.4286 0.5000
In: 0.0000 0.5714 0.5000
In: 0.5000 0.0714 0.5000
In: 0.5000 0.9286 0.5000

Peak list (8 most intense, 10° ≤ 2θ ≤ 90°, sorted by position)
two_theta  intensity
31.42  79
31.86  100
34.10  29
36.09  36
39.71  22
50.50  19
54.73  17
62.41  29

[3]
Structure and computed powder X-ray diffraction pattern of Pm3Er3In2 (DFT lattice parameters and positions (PBE); a wavelength of 1.5418 Å).

Cell lengths 4.8647, 4.8771, 9.8393 Å; angles 90.00, 90.00, 90.00 degrees
Sites, in units of the cell vectors:
Pm: 0.0000 0.0000 0.0000
Pm: 0.0000 0.0000 0.5000
Pm: 0.5000 0.5000 0.0000
Er: 0.5000 0.0000 0.2522
Er: 0.5000 0.0000 0.7478
Er: 0.5000 0.5000 0.5000
In: 0.0000 0.5000 0.2536
In: 0.0000 0.5000 0.7464

Peak list (8 most intense, 10° ≤ 2θ ≤ 90°, sorted by position)
two_theta  intensity
31.71  100
36.53  17
36.91  33
52.90  24
62.75  14
63.20  14
63.33  14
66.25  12

[4]
Structure and computed powder X-ray diffraction pattern of Pm5ErIn4 (DFT lattice parameters and positions (PBE); a wavelength of 1.5418 Å).

Cell lengths 3.6350, 3.6350, 22.2893 Å; angles 90.00, 90.00, 90.00 degrees
Sites, in units of the cell vectors:
Pm: 0.0000 0.0000 0.0000
Pm: 0.0000 0.0000 0.1936
Pm: 0.0000 0.0000 0.3863
Pm: 0.0000 0.0000 0.6137
Pm: 0.0000 0.0000 0.8064
Er: 0.5000 0.5000 0.5000
In: 0.5000 0.5000 0.0968
In: 0.5000 0.5000 0.2906
In: 0.5000 0.5000 0.7094
In: 0.5000 0.5000 0.9032

Peak list (8 most intense, 10° ≤ 2θ ≤ 90°, sorted by position)
two_theta  intensity
31.76  100
34.91  41
40.47  11
50.20  15
54.49  18
60.63  31
66.36  10
84.24  7